Calculated X-ray diffraction stick pattern
Compound: Ho6Tl5Rh
Radiation: CuKα
Structure: a crystal structure in Alexandria, relaxed with PBE

Peak list (6 most intense, 10 to 90 degrees two-theta, in order of falling intensity)
| (hkl) | 2θ (°) | d [Å] | I (rel.) |
| --- | --- | --- | --- |
| 2 0 -2 | 33.92 | 2.643 | 100 |
| 0 2 3 | 60.70 | 1.526 | 21 |
| 6 0 0 | 34.50 | 2.600 | 18 |
| 8 2 1 | 61.44 | 1.509 | 11 |
| 2 4 -2 | 60.32 | 1.534 | 7 |
| 0 4 0 | 48.29 | 1.885 | 7 |

Crystal structure
```
data_Ho6Tl5Rh
_chemical_formula_sum 'Ho12 Tl10 Rh2'
_cell_length_a 16.4558
_cell_length_b 7.5391
_cell_length_c 5.2847
_cell_angle_alpha 90.00
_cell_angle_beta 108.58
_cell_angle_gamma 90.00
_space_group_name_H-M_alt 'C 1 2/m 1'
_space_group_IT_number 12
loop_
_space_group_symop_operation_xyz
'x,y,z'
'-x,-y,-z'
'-x,y,-z'
'x,-y,z'
'x+1/2,y+1/2,z'
'-x+1/2,-y+1/2,-z'
'-x+1/2,y+1/2,-z'
'x+1/2,-y+1/2,z'
loop_
_atom_site_label
_atom_site_type_symbol
_atom_site_fract_x
_atom_site_fract_y
_atom_site_fract_z
_atom_site_occupancy
Ho1 Ho 0.0000 0.2261 0.0000 1
Ho2 Ho 0.1542 0.2320 0.6540 1
Tl1 Tl 0.0000 0.5000 0.5000 1
Tl2 Tl 0.1642 0.5000 0.1644 1
Tl3 Tl 0.1799 0.0000 0.1796 1
Rh1 Rh 0.0000 0.0000 0.5000 1
```